Structure and computed powder diffraction line list of Ce2BHRh6 (DFT lattice parameters and positions (PBE); Cu Kα, 1.54184 Å).
No peak broadening, texture or thermal motion is included.

Crystal structure
abc: 4.204 4.204 8.221
angles: 90.00 90.00 90.00
Space group P4/mmm (No. 123)
One atom of each set of equivalent atoms:
Ce: 0.000 0.000 0.243
B: 0.500 0.500 0.500
H: 0.500 0.500 0.000
Rh: 0.000 0.500 0.000
Rh: 0.000 0.500 0.500
Rh: 0.500 0.500 0.244

Peak list (6 most intense, 2θ from 5° to 70°, sorted by position)
2θ = 30.4°, I = 1
2θ = 37.3°, I = 100
2θ = 43.0°, I = 35
2θ = 44.1°, I = 16
2θ = 62.5°, I = 11
2θ = 63.3°, I = 21



Structure and computed powder diffraction line list of CeHfB2O8 (DFT lattice parameters and positions (PBE); Cu Kα, 1.54184 Å).
No peak broadening, texture or thermal motion is included.

Crystal structure
abc: 4.602 4.602 10.927
angles: 90.00 90.00 90.00
Space group I-4 (No. 82)
One atom of each set of equivalent atoms:
Ce: 0.000 0.000 0.000
Hf: 0.000 0.500 0.750
B: 0.000 0.000 0.500
B: 0.000 0.500 0.250
O: 0.110 0.246 0.576
O: 0.138 0.747 0.184

Peak list (6 most intense, 2θ from 5° to 70°, sorted by position)
2θ = 20.9°, I = 96
2θ = 31.3°, I = 28
2θ = 32.0°, I = 100
2θ = 44.8°, I = 39
2θ = 51.0°, I = 31
2θ = 52.0°, I = 27



Structure and computed powder diffraction line list of CeB3Ir6 (DFT lattice parameters and positions (PBE); Cu Kα, 1.54184 Å).
No peak broadening, texture or thermal motion is included.

Crystal structure
abc: 5.4946 5.4946 15.8522
angles: 90.00 90.00 120.00
Space group R3 (No. 146, hexagonal axes)
One atom of each set of equivalent atoms:
Ce: 0.0000 0.0000 0.0000
B: 0.0000 0.0000 0.2997
B: 0.0000 0.0000 0.6337
B: 0.0000 0.0000 0.8296
Ir: 0.0006 0.5006 0.0635
Ir: 0.1036 0.3354 0.2109

Peak list (6 most intense, 2θ from 5° to 70°, sorted by position)
2θ = 33.9°, I = 72
2θ = 36.9°, I = 30
2θ = 38.3°, I = 100
2θ = 39.5°, I = 27
2θ = 44.4°, I = 28
2θ = 47.8°, I = 81